# In4Ga2Sn3Pb2
Theoretical powder diffractogram, Cu Kα (weighted mean of Kα1 and Kα2). Input: a structure optimized by DFT (GGA-PBE).
Peak positions follow from Bragg's law for the DFT cell and can differ from measured ones.

Cell and atoms:
```
data_In4Ga2Sn3Pb2
_symmetry_space_group_name_H-M 'P -3 m 1'
_symmetry_Int_Tables_number 164
_symmetry_space_group_name_Hall '-P 3 2"'
_cell_length_a 4.9326
_cell_length_b 4.9326
_cell_length_c 14.8140
_cell_angle_alpha 90.00
_cell_angle_beta 90.00
_cell_angle_gamma 120.00
loop_
_atom_site_label
_atom_site_type_symbol
_atom_site_fract_x
_atom_site_fract_y
_atom_site_fract_z
_atom_site_occupancy
In1 In 0.3333 0.6667 0.3367 1
In2 In 0.3333 0.6667 0.9039 1
Ga1 Ga 0.3333 0.6667 0.1360 1
Sn1 Sn 0.0000 0.0000 0.0000 1
Sn2 Sn 0.0000 0.0000 0.2441 1
Pb1 Pb 0.3333 0.6667 0.5658 1
```

Top 6 peaks for 10° ≤ 2θ ≤ 90°, sorted by position:
d [Å]	2θ (°)	I (rel.)	(hkl)
3.231	27.61	46	1 0 3
2.798	31.98	70	0 1 4
2.466	36.43	100	1 1 0
2.435	36.92	47	1 0 5
1.850	49.25	21	2 0 4
1.480	62.78	21	1 2 4